No. 1
Li2La3Mg2Au4: theoretical X-ray diffraction stick pattern (Cu Kα (weighted mean of Kα1 and Kα2)), based on a DFT-relaxed cell (GGA-PBE, Alexandria).

Main lines, in order of rising 2θ (10 to 90 degrees two-theta):
d/Å  two_theta  Rel. int.
3.527  25.3  100
2.653  33.8  71
2.360  38.1  64
2.021  44.8  27
1.961  46.3  20
1.763  51.8  21

Atomic structure:
Cell lengths 4.720, 4.720, 13.950 Å; angles 90.00, 90.00, 120.00 degrees
Element x y z (fractional)
Li: 0.333 0.667 0.135
Li: 0.667 0.333 0.865
La: 0.000 0.000 0.000
La: 0.000 0.000 0.265
La: 0.000 0.000 0.735
Mg: 0.333 0.667 0.566
Mg: 0.667 0.333 0.434
Au: 0.333 0.667 0.372
Au: 0.333 0.667 0.873
Au: 0.667 0.333 0.127
Au: 0.667 0.333 0.628

=====

No. 2
Na2LiLaAu: theoretical X-ray diffraction stick pattern (Cu Kα (weighted mean of Kα1 and Kα2)), based on a DFT-relaxed cell (GGA-PBE, Alexandria).

Main lines, in order of rising 2θ (10 to 90 degrees two-theta):
d/Å  two_theta  Rel. int.
6.249  14.2  75
3.432  26.0  41
3.124  28.6  29
3.008  29.7  100
2.427  37.0  29
1.917  47.4  30

Atomic structure:
Cell lengths 4.854, 4.854, 6.249 Å; angles 90.00, 90.00, 90.00 degrees
Element x y z (fractional)
Na: 0.000 0.500 0.000
Na: 0.500 0.000 0.000
Li: 0.000 0.000 0.000
La: 0.000 0.000 0.500
Au: 0.500 0.500 0.500

=====

No. 3
Li2LaSm2Au2: theoretical X-ray diffraction stick pattern (Cu Kα (weighted mean of Kα1 and Kα2)), based on a DFT-relaxed cell (GGA-PBE, Alexandria).

Main lines, in order of rising 2θ (10 to 90 degrees two-theta):
d/Å  two_theta  Rel. int.
6.703  13.2  30
3.419  26.1  47
3.128  28.5  43
2.773  32.3  100
2.433  37.0  51
2.042  44.4  47

Atomic structure:
Cell lengths 4.083, 4.083, 13.406 Å; angles 90.00, 90.00, 120.00 degrees
Element x y z (fractional)
Li: 0.333 0.667 0.038
Li: 0.667 0.333 0.962
La: 0.000 0.000 0.500
Sm: 0.000 0.000 0.206
Sm: 0.000 0.000 0.794
Au: 0.333 0.667 0.343
Au: 0.667 0.333 0.657

=====

No. 4
Li2LaSnAu4: theoretical X-ray diffraction stick pattern (Cu Kα (weighted mean of Kα1 and Kα2)), based on a DFT-relaxed cell (GGA-PBE, Alexandria).

Main lines, in order of rising 2θ (10 to 90 degrees two-theta):
d/Å  two_theta  Rel. int.
3.825  23.3  46
3.446  25.9  57
2.603  34.5  93
2.299  39.2  100
2.264  39.8  48
1.723  53.2  28

Atomic structure:
Cell lengths 9.549, 9.549, 9.549 Å; angles 27.86, 27.86, 27.86 degrees
Element x y z (fractional)
Li: 0.235 0.235 0.235
Li: 0.765 0.765 0.765
La: 0.000 0.000 0.000
Sn: 0.500 0.500 0.500
Au: 0.120 0.120 0.120
Au: 0.395 0.395 0.395
Au: 0.605 0.605 0.605
Au: 0.880 0.880 0.880

=====

No. 5
LaMg10Au2: theoretical X-ray diffraction stick pattern (Cu Kα (weighted mean of Kα1 and Kα2)), based on a DFT-relaxed cell (GGA-PBE, Alexandria).

Main lines, in order of rising 2θ (10 to 90 degrees two-theta):
d/Å  two_theta  Rel. int.
7.154  12.4  100
5.059  17.5  25
3.577  24.9  32
3.200  27.9  29
2.529  35.5  29
2.494  36.0  47

Atomic structure:
Cell lengths 10.118, 7.708, 7.706 Å; angles 82.05, 48.98, 48.97 degrees
Element x y z (fractional)
La: 0.000 0.000 0.000
Mg: 0.000 0.000 0.500
Mg: 0.015 0.347 0.653
Mg: 0.285 0.490 0.510
Mg: 0.347 0.015 0.985
Mg: 0.490 0.285 0.715
Mg: 0.500 0.500 0.000
Mg: 0.510 0.715 0.285
Mg: 0.653 0.985 0.015
Mg: 0.715 0.510 0.490
Mg: 0.985 0.653 0.347
Au: 0.000 0.500 0.000
Au: 0.500 0.000 0.500

=====

No. 6
LaMgAu4: theoretical X-ray diffraction stick pattern (Cu Kα (weighted mean of Kα1 and Kα2)), based on a DFT-relaxed cell (GGA-PBE, Alexandria).

Main lines, in order of rising 2θ (10 to 90 degrees two-theta):
d/Å  two_theta  Rel. int.
3.786  23.5  97
2.712  33.0  71
2.626  34.1  100
2.224  40.6  69
2.070  43.7  42
1.932  47.0  47

Atomic structure:
Cell lengths 9.904, 9.904, 9.904 Å; angles 157.51, 157.51, 32.02 degrees
Element x y z (fractional)
La: 0.000 0.000 0.000
Mg: 0.250 0.750 0.500
Au: 0.422 0.422 0.000
Au: 0.578 0.578 0.000
Au: 0.680 0.180 0.500
Au: 0.820 0.320 0.500

=====

No. 7
La3Mg7Au4: theoretical X-ray diffraction stick pattern (Cu Kα (weighted mean of Kα1 and Kα2)), based on a DFT-relaxed cell (GGA-PBE, Alexandria).

Main lines, in order of rising 2θ (10 to 90 degrees two-theta):
d/Å  two_theta  Rel. int.
4.363  20.4  59
3.629  24.5  64
2.835  31.6  46
2.768  32.3  66
2.705  33.1  97
2.265  39.8  100

Atomic structure:
Cell lengths 8.769, 8.769, 10.512 Å; angles 122.59, 122.59, 29.97 degrees
Element x y z (fractional)
La: 0.000 0.000 0.000
La: 0.306 0.306 0.295
La: 0.694 0.694 0.705
Mg: 0.000 0.000 0.500
Mg: 0.164 0.164 0.429
Mg: 0.321 0.321 0.984
Mg: 0.490 0.490 0.701
Mg: 0.510 0.510 0.299
Mg: 0.679 0.679 0.016
Mg: 0.836 0.836 0.571
Au: 0.116 0.116 0.830
Au: 0.339 0.339 0.734
Au: 0.661 0.661 0.266
Au: 0.884 0.884 0.170

=====

No. 8
LaPmMgAu: theoretical X-ray diffraction stick pattern (Cu Kα (weighted mean of Kα1 and Kα2)), based on a DFT-relaxed cell (GGA-PBE, Alexandria).

Main lines, in order of rising 2θ (10 to 90 degrees two-theta):
d/Å  two_theta  Rel. int.
7.535  11.7  44
2.715  33.0  53
2.689  33.3  100
1.920  47.3  19
1.563  59.1  39
1.548  59.7  17

Atomic structure:
Cell lengths 3.840, 3.840, 7.535 Å; angles 90.00, 90.00, 90.00 degrees
Element x y z (fractional)
La: 0.000 0.000 0.000
Pm: 0.000 0.000 0.532
Mg: 0.500 0.500 0.276
Au: 0.500 0.500 0.751

=====

No. 9
LaMgSc2Au4: theoretical X-ray diffraction stick pattern (Cu Kα (weighted mean of Kα1 and Kα2)), based on a DFT-relaxed cell (GGA-PBE, Alexandria).

Main lines, in order of rising 2θ (10 to 90 degrees two-theta):
d/Å  two_theta  Rel. int.
3.503  25.4  59
2.785  32.1  23
2.578  34.8  77
2.386  37.7  100
1.751  52.2  24
1.412  66.2  24

Atomic structure:
Cell lengths 9.218, 9.218, 9.218 Å; angles 30.00, 30.00, 30.00 degrees
Element x y z (fractional)
La: 0.000 0.000 0.000
Mg: 0.500 0.500 0.500
Sc: 0.237 0.237 0.237
Sc: 0.763 0.763 0.763
Au: 0.125 0.125 0.125
Au: 0.396 0.396 0.396
Au: 0.604 0.604 0.604
Au: 0.875 0.875 0.875

=====

No. 10
LaMgSiAu: theoretical X-ray diffraction stick pattern (Cu Kα (weighted mean of Kα1 and Kα2)), based on a DFT-relaxed cell (GGA-PBE, Alexandria).

Main lines, in order of rising 2θ (10 to 90 degrees two-theta):
d/Å  two_theta  Rel. int.
4.117  21.6  62
2.521  35.6  100
2.150  42.0  35
1.783  51.2  18
1.455  64.0  36
1.127  86.3  16

Atomic structure:
Cell lengths 5.042, 5.042, 5.042 Å; angles 60.00, 60.00, 60.00 degrees
Element x y z (fractional)
La: 0.000 0.000 0.000
Mg: 0.500 0.500 0.500
Si: 0.750 0.750 0.750
Au: 0.250 0.250 0.250

=====

No. 11
La2Sm2MgAu4: theoretical X-ray diffraction stick pattern (Cu Kα (weighted mean of Kα1 and Kα2)), based on a DFT-relaxed cell (GGA-PBE, Alexandria).

Main lines, in order of rising 2θ (10 to 90 degrees two-theta):
d/Å  two_theta  Rel. int.
2.841  31.5  100
2.564  35.0  49
2.286  39.4  9
1.813  50.3  17
1.706  53.7  15
1.528  60.6  31

Atomic structure:
Cell lengths 6.871, 6.871, 6.871 Å; angles 116.29, 116.29, 96.56 degrees
Element x y z (fractional)
La: 0.250 0.750 0.500
La: 0.750 0.250 0.500
Sm: 0.177 0.177 0.000
Sm: 0.823 0.823 0.000
Mg: 0.500 0.500 0.000
Au: 0.244 0.244 0.487
Au: 0.244 0.756 0.000
Au: 0.756 0.244 0.000
Au: 0.756 0.756 0.513

=====

No. 12
La2Au2N: theoretical X-ray diffraction stick pattern (Cu Kα (weighted mean of Kα1 and Kα2)), based on a DFT-relaxed cell (GGA-PBE, Alexandria).

Main lines, in order of rising 2θ (10 to 90 degrees two-theta):
d/Å  two_theta  Rel. int.
8.413  10.5  25
3.001  29.8  86
2.680  33.4  100
2.445  36.8  45
1.921  47.3  33
1.618  56.9  29

Atomic structure:
Cell lengths 17.043, 17.043, 17.043 Å; angles 167.06, 167.06, 18.34 degrees
Element x y z (fractional)
La: 0.082 0.332 0.750
La: 0.332 0.082 0.250
La: 0.668 0.918 0.750
La: 0.918 0.668 0.250
Au: 0.220 0.470 0.750
Au: 0.470 0.220 0.250
Au: 0.530 0.780 0.750
Au: 0.780 0.530 0.250
N: 0.125 0.875 0.250
N: 0.875 0.125 0.750